(1)
Simulated XRD peak list
Compound: SrCu2AsH2
Radiation: λ = 1.5418 Å (Cu Kα)
Structure: a PBE-relaxed structure
Intensities are scaled so that the largest is 100.

Cell and atoms:
```
data_SrCu2AsH2
_cell_length_a 6.408
_cell_length_b 5.045
_cell_length_c 6.412
_cell_angle_alpha 90.00
_cell_angle_beta 111.84
_cell_angle_gamma 90.00
_symmetry_space_group_name_H-M 'P 1 21/m 1'
_symmetry_Int_Tables_number 11
loop_
_symmetry_equiv_pos_as_xyz
'x,y,z'
'-x,-y,-z'
'-x,y+1/2,-z'
'x,-y+1/2,z'
loop_
_atom_site_label
_atom_site_type_symbol
_atom_site_fract_x
_atom_site_fract_y
_atom_site_fract_z
_atom_site_occupancy
Sr1 Sr 0.178 0.250 0.325 1
Cu1 Cu 0.322 0.000 0.824 1
As1 As 0.341 0.750 0.163 1
H1 H 0.132 0.250 0.737 1
H2 H 0.234 0.750 0.635 1
```

Peak list (6 most intense, 2θ = 10–80°, low angle first)
two_theta	I (rel.)	index
14.9	63	1 0 0
24.3	100	1 1 -1
30.0	93	2 0 0
35.0	81	0 1 2
39.6	73	1 2 -1
43.9	66	1 2 1



(2)
Simulated XRD peak list
Compound: ZrH12C2N6F6
Radiation: λ = 1.5418 Å (Cu Kα)
Structure: a PBE-relaxed structure
Intensities are scaled so that the largest is 100.

Cell and atoms:
```
data_ZrH12C2N6F6
_cell_length_a 8.302
_cell_length_b 8.323
_cell_length_c 10.200
_cell_angle_alpha 102.35
_cell_angle_beta 100.07
_cell_angle_gamma 115.84
_symmetry_space_group_name_H-M 'P -1'
_symmetry_Int_Tables_number 2
loop_
_symmetry_equiv_pos_as_xyz
'x,y,z'
'-x,-y,-z'
loop_
_atom_site_label
_atom_site_type_symbol
_atom_site_fract_x
_atom_site_fract_y
_atom_site_fract_z
_atom_site_occupancy
Zr1 Zr 0.148 0.496 0.159 1
H1 H 0.003 0.719 0.583 1
H2 H 0.081 0.752 0.435 1
H3 H 0.106 0.244 0.757 1
H4 H 0.194 0.089 0.110 1
H5 H 0.230 0.935 0.190 1
H6 H 0.286 0.858 0.799 1
H7 H 0.300 0.345 0.431 1
H8 H 0.331 0.274 0.758 1
H9 H 0.354 0.667 0.910 1
H10 H 0.433 0.330 0.083 1
H11 H 0.439 0.330 0.570 1
H12 H 0.479 0.068 0.802 1
C1 C 0.175 0.268 0.576 1
C2 C 0.461 0.133 0.156 1
N1 N 0.015 0.260 0.512 1
N2 N 0.200 0.245 0.704 1
N3 N 0.281 0.046 0.154 1
N4 N 0.306 0.290 0.511 1
N5 N 0.424 0.932 0.804 1
N6 N 0.473 0.709 0.880 1
F1 F 0.040 0.693 0.765 1
F2 F 0.137 0.590 0.970 1
F3 F 0.137 0.734 0.256 1
F4 F 0.163 0.280 0.034 1
F5 F 0.308 0.520 0.347 1
F6 F 0.426 0.673 0.169 1
```

Peak list (6 most intense, 2θ = 10–80°, low angle first)
two_theta	I (rel.)	index
12.5	100	0 1 0
13.1	36	1 0 -1
15.9	58	-1 1 1
20.2	20	1 1 -1
22.3	24	1 -1 2
25.5	52	-1 2 1



(3)
Simulated XRD peak list
Compound: Bi2PtPbO8
Radiation: λ = 1.5418 Å (Cu Kα)
Structure: a PBE-relaxed structure
Intensities are scaled so that the largest is 100.

Cell and atoms:
```
data_Bi2PtPbO8
_cell_length_a 5.027
_cell_length_b 6.865
_cell_length_c 5.037
_cell_angle_alpha 90.00
_cell_angle_beta 90.22
_cell_angle_gamma 90.00
_symmetry_space_group_name_H-M 'P 1 2/m 1'
_symmetry_Int_Tables_number 10
loop_
_symmetry_equiv_pos_as_xyz
'x,y,z'
'-x,-y,-z'
'-x,y,-z'
'x,-y,z'
loop_
_atom_site_label
_atom_site_type_symbol
_atom_site_fract_x
_atom_site_fract_y
_atom_site_fract_z
_atom_site_occupancy
Bi1 Bi 0.000 0.241 0.000 1
Pt1 Pt 0.500 0.000 0.500 1
Pb1 Pb 0.500 0.500 0.500 1
O1 O 0.188 0.500 0.184 1
O2 O 0.217 0.000 0.213 1
O3 O 0.316 0.231 0.679 1
```

Peak list (6 most intense, 2θ = 10–80°, low angle first)
two_theta	I (rel.)	index
25.0	100	1 0 -1
31.6	94	1 2 0
35.7	30	0 0 2
48.3	37	2 2 -1
48.4	35	2 2 1
59.8	18	1 4 -1



(4)
Simulated XRD peak list
Compound: NaUTaO6
Radiation: λ = 1.5418 Å (Cu Kα)
Structure: a PBE-relaxed structure
Intensities are scaled so that the largest is 100.

Cell and atoms:
```
data_NaUTaO6
_cell_length_a 5.5701
_cell_length_b 5.5701
_cell_length_c 10.1794
_cell_angle_alpha 90.00
_cell_angle_beta 90.00
_cell_angle_gamma 120.00
_symmetry_space_group_name_H-M 'P -3 1 c'
_symmetry_Int_Tables_number 163
_symmetry_space_group_name_Hall '-P 3 2c'
loop_
_atom_site_label
_atom_site_type_symbol
_atom_site_fract_x
_atom_site_fract_y
_atom_site_fract_z
_atom_site_occupancy
Na1 Na 0.0000 0.0000 0.0000 1
U1 U 0.3333 0.6667 0.2500 1
Ta1 Ta 0.3333 0.6667 0.7500 1
O1 O 0.0113 0.3818 0.6449 1
```

Peak list (6 most intense, 2θ = 10–80°, low angle first)
two_theta	I (rel.)	index
17.4	100	0 0 2
18.4	60	1 0 0
25.4	80	1 0 2
32.1	60	1 1 0
36.8	82	1 1 2
48.5	59	1 1 4